Calculated XRD peak list
Compound: NbNi4P16
Radiation: copper Kα
Structure: a GGA-PBE-relaxed structure
Intensities are scaled so that the largest is 100.

a = 19.801 Å, b = 5.729 Å, c = 11.234 Å
α = 90.00°, β = 100.69°, γ = 90.00°
Space group C2/c (No. 15)
One atom of each set of equivalent atoms:
Nb 0.000 0.106 0.250
Ni 0.107 0.405 0.574
Ni 0.249 0.055 0.129
P 0.004 0.244 0.605
P 0.063 0.451 0.369
P 0.064 0.223 0.080
P 0.123 0.003 0.839
P 0.142 0.037 0.542
P 0.142 0.370 0.781
P 0.213 0.435 0.053
P 0.223 0.163 0.313

Principal peaks in the range 15° ≤ 2θ ≤ 90°, low angle first:
2θ (°), d/Å, I/Imax
24.66, 3.611, 63
32.03, 2.794, 100
32.29, 2.773, 78
34.33, 2.612, 54
35.43, 2.533, 54
36.95, 2.433, 56
50.04, 1.823, 66
51.74, 1.767, 50
53.44, 1.714, 63
53.84, 1.703, 53